No. 1
Ac3HfSi7: calculated X-ray powder pattern (a wavelength of 1.5418 Å), based on a structure optimized by DFT (PBE).
Intensities are scaled so that the largest is 100.

Peak list (10 most intense, 5° ≤ 2θ ≤ 70°, in order of falling intensity)
2θ (°)	I (rel.)	h k l
31.38	100	1 1 3
23.19	99	0 4 2
34.55	72	1 5 2
31.96	65	1 5 1
21.83	60	1 1 0
24.00	52	0 2 3
43.53	37	2 0 0
26.78	29	0 6 0
49.90	27	2 4 2
46.71	26	0 6 5

Crystal structure
Cell: 4.1581 19.9704 11.9793 Å, 90.00 90.00 90.00°
Space group Cmcm (No. 63)
Asymmetric unit:
Ac (0.0000, 0.1078, 0.0491) [8 per cell]
Ac (0.0000, 0.2411, 0.7500) [4 per cell]
Hf (0.0000, 0.0429, 0.7500) [4 per cell]
Si (0.0000, 0.2724, 0.0353) [8 per cell]
Si (0.0000, 0.3724, 0.1522) [8 per cell]
Si (0.0000, 0.4304, 0.7500) [4 per cell]
Si (0.0000, 0.4887, 0.0986) [8 per cell]

=====

No. 2
AcHfSi: calculated X-ray powder pattern (a wavelength of 1.5418 Å), based on a structure optimized by DFT (PBE).
Intensities are scaled so that the largest is 100.

Peak list (10 most intense, 5° ≤ 2θ ≤ 70°, in order of falling intensity)
2θ (°)	I (rel.)	h k l
33.65	100	3 1 1
35.08	71	0 2 0
25.75	70	1 1 1
62.02	35	3 3 1
28.95	34	2 1 1
52.76	27	5 2 0
50.45	26	0 2 2
52.97	21	6 1 1
38.11	17	5 0 0
57.49	16	1 3 1

Crystal structure
Cell: 11.8054 5.1189 5.1146 Å, 90.00 90.00 90.00°
Space group Amm2 (No. 38)
Asymmetric unit:
Ac (0.1776, 0.0000, 0.0000) [4 per cell]
Hf (0.3873, 0.0000, 0.4993) [4 per cell]
Si (0.0000, 0.0000, 0.5004) [2 per cell]
Si (0.5000, 0.0000, 0.9992) [2 per cell]

=====

No. 3
AcHfSi4: calculated X-ray powder pattern (a wavelength of 1.5418 Å), based on a structure optimized by DFT (PBE).
Intensities are scaled so that the largest is 100.

Peak list (10 most intense, 5° ≤ 2θ ≤ 70°, in order of falling intensity)
2θ (°)	I (rel.)	h k l
32.26	100	2 1 1
22.75	72	2 1 0
36.49	64	2 3 1
32.85	53	0 4 1
22.56	50	0 0 1
34.72	41	1 4 1
23.56	37	0 4 0
28.30	36	2 3 0
30.86	32	1 3 1
46.06	27	0 0 2

Crystal structure
Cell: 8.0923 15.1055 3.9410 Å, 90.00 90.00 90.00°
Space group Pbam (No. 55)
Asymmetric unit:
Ac (0.1232, 0.1485, 0.0000) [4 per cell]
Hf (0.1254, 0.4132, 0.0000) [4 per cell]
Si (0.0222, 0.6943, 0.5000) [4 per cell]
Si (0.1232, 0.5465, 0.5000) [4 per cell]
Si (0.1302, 0.9587, 0.5000) [4 per cell]
Si (0.2221, 0.8076, 0.5000) [4 per cell]

=====

No. 4
Ac2Hf2Te7: calculated X-ray powder pattern (a wavelength of 1.5418 Å), based on a structure optimized by DFT (PBE).
Intensities are scaled so that the largest is 100.

Peak list (10 most intense, 5° ≤ 2θ ≤ 70°, in order of falling intensity)
2θ (°)	I (rel.)	h k l
16.93	100	0 2 1
32.38	66	1 3 2
17.17	55	1 1 1
30.75	45	3 1 -1
39.82	38	1 3 -3
24.70	37	1 3 1
11.52	32	1 1 0
21.23	32	2 0 -1
37.94	29	0 6 0
44.06	29	3 5 -1

Crystal structure
Cell: 9.2086 14.2314 7.8102 Å, 90.00 97.77 90.00°
Space group C2/m (No. 12)
Asymmetric unit:
Ac (0.0000, 0.1840, 0.0000) [4 per cell]
Hf (0.2313, 0.0000, 0.6122) [4 per cell]
Te (0.0000, 0.5000, 0.5000) [2 per cell]
Te (0.0722, 0.0000, 0.2740) [4 per cell]
Te (0.2246, 0.3259, 0.2304) [8 per cell]

=====

No. 5
AcHg5: calculated X-ray powder pattern (a wavelength of 1.5418 Å), based on a structure optimized by DFT (PBE).
Intensities are scaled so that the largest is 100.

Peak list (10 most intense, 5° ≤ 2θ ≤ 70°, in order of falling intensity)
2θ (°)	I (rel.)	h k l
31.62	100	1 1 -2
32.96	92	3 1 0
36.85	34	4 0 -2
36.33	33	2 0 2
54.48	32	6 0 0
39.16	29	0 2 0
54.86	22	4 2 -2
62.32	14	5 1 -4
64.73	13	7 1 -2
61.61	13	1 1 4

Crystal structure
Cell: 10.6762 4.6005 7.1788 Å, 90.00 108.85 90.00°
Space group C2/m (No. 12)
Asymmetric unit:
Ac (0.0000, 0.0000, 0.0000) [2 per cell]
Hg (0.0000, 0.0000, 0.5000) [2 per cell]
Hg (0.1606, 0.5000, 0.8035) [4 per cell]
Hg (0.1758, 0.5000, 0.3368) [4 per cell]

=====

No. 6
Ac3Hg2: calculated X-ray powder pattern (a wavelength of 1.5418 Å), based on a structure optimized by DFT (PBE).
Intensities are scaled so that the largest is 100.

Peak list (10 most intense, 5° ≤ 2θ ≤ 70°, in order of falling intensity)
2θ (°)	I (rel.)	h k l
30.15	100	1 0 5
31.33	60	1 1 0
55.04	38	2 1 5
44.90	23	2 0 0
33.15	19	1 0 6
56.48	12	1 1 11
56.94	9	2 1 6
52.80	8	1 1 10
27.48	8	1 0 4
66.02	8	2 0 11

Crystal structure
Cell: 4.0372 4.0372 21.8268 Å, 90.00 90.00 90.00°
Space group P4/mmm (No. 123)
Asymmetric unit:
Ac (0.0000, 0.0000, 0.0000) [1 per cell]
Ac (0.0000, 0.0000, 0.1857) [2 per cell]
Ac (0.0000, 0.0000, 0.3720) [2 per cell]
Ac (0.5000, 0.5000, 0.5000) [1 per cell]
Hg (0.5000, 0.5000, 0.0930) [2 per cell]
Hg (0.5000, 0.5000, 0.2808) [2 per cell]